Tb2ReC2: simulated X-ray diffraction stick pattern (Cu Kα (λ = 1.5418 Å)), based on a cell relaxed with GGA-PBE.

Largest 12 diffraction maxima, low angle first, 10° ≤ 2θ ≤ 90°:
2theta, I/Imax
30.3, 17
32.2, 100
32.6, 24
33.5, 94
34.8, 65
35.0, 52
45.8, 15
48.4, 16
58.8, 16
59.0, 17
60.8, 17
61.6, 17

Crystal structure
Unit cell a=6.592 b=5.156 c=9.905 alpha=90.00 beta=90.00 gamma=90.00
Space group Pnma (No. 62)
Symmetry-distinct sites (fractional):
Tb  0.030  0.250  0.216 x4
Tb  0.182  0.250  0.555 x4
Re  0.223  0.250  0.865 x4
C  0.043  0.750  0.241 x4
C  0.178  0.750  0.548 x4